LaSm3O6: simulated XRD peak list (Cu Kα), based on a cell relaxed with PBE.
Neutral-atom scattering factors, no anomalous dispersion.

Top 6 peaks for 2θ = 5–70°, low angle first:
d (Å)  intensity
3.242  86.4
3.121  89.4
3.072  95.8
2.903  89.5
2.833  100.0
1.964  60.5

Cell and atoms:
Cell: 7.497 7.497 18.045 Å, 100.27 100.27 28.26°
Fractional coordinates of all 30 atoms:
La  0.000  0.000  0.000
La  0.001  0.001  0.497
La  0.621  0.621  0.859
Sm  0.276  0.276  0.523
Sm  0.278  0.278  0.025
Sm  0.341  0.341  0.336
Sm  0.343  0.343  0.835
Sm  0.620  0.620  0.359
Sm  0.676  0.676  0.186
Sm  0.677  0.677  0.684
Sm  0.943  0.943  0.673
Sm  0.945  0.945  0.176
O  0.107  0.107  0.121
O  0.109  0.109  0.617
O  0.137  0.137  0.441
O  0.137  0.137  0.946
O  0.182  0.182  0.288
O  0.184  0.184  0.785
O  0.436  0.436  0.571
O  0.437  0.437  0.075
O  0.484  0.484  0.913
O  0.485  0.485  0.410
O  0.514  0.514  0.736
O  0.517  0.517  0.241
O  0.782  0.782  0.102
O  0.782  0.782  0.600
O  0.809  0.809  0.428
O  0.810  0.810  0.929
O  0.838  0.838  0.258
O  0.840  0.840  0.757